(1)
Starting from a crystal structure in Alexandria, relaxed with PBE, the X-ray powder pattern of Ac6AlGe3 was simulated for CuKα.

Principal peaks in the range 2θ from 5° to 70°, sorted by position:
| Position (°2θ) | intensity | index |
| --- | --- | --- |
| 21.9 | 65 | 0 2 1 |
| 25.3 | 100 | 2 1 -2 |
| 26.5 | 80 | 1 0 2 |
| 27.3 | 82 | 1 0 -4 |
| 28.3 | 70 | 1 2 1 |
| 28.8 | 58 | 1 2 -3 |
| 29.2 | 46 | 1 1 -4 |
| 31.8 | 43 | 2 2 -1 |
| 43.1 | 47 | 1 4 -1 |
| 48.6 | 39 | 0 4 3 |

Atomic structure:
a = 7.708 Å, b = 8.721 Å, c = 13.188 Å
α = 90.00°, β = 123.46°, γ = 90.00°
Space group P2_1/c (No. 14)
Asymmetric unit:
Ac 0.063 0.083 0.248 (multiplicity 4)
Ac 0.238 0.685 0.079 (multiplicity 4)
Ac 0.401 0.173 0.071 (multiplicity 4)
Al 0.500 0.000 0.500 (multiplicity 2)
Ge 0.000 0.000 0.000 (multiplicity 2)
Ge 0.309 0.111 0.757 (multiplicity 4)


(2)
Starting from a crystal structure in Alexandria, relaxed with PBE, the X-ray powder pattern of Ac3AlGe3 was simulated for CuKα.

Principal peaks in the range 2θ from 5° to 70°, sorted by position:
| Position (°2θ) | intensity | index |
| --- | --- | --- |
| 19.3 | 79 | 1 1 0 |
| 23.7 | 84 | 1 1 1 |
| 27.4 | 77 | 0 0 2 |
| 29.7 | 91 | 1 2 0 |
| 33.8 | 92 | 3 0 0 |
| 40.8 | 100 | 1 2 2 |
| 44.0 | 50 | 3 0 2 |
| 49.9 | 39 | 2 3 0 |
| 65.2 | 39 | 1 5 0 |
| 68.7 | 27 | 4 2 2 |

Atomic structure:
a = 9.1949 Å, b = 9.1949 Å, c = 6.5088 Å
α = 90.00°, β = 90.00°, γ = 120.00°
Space group P6_3/m (No. 176)
Asymmetric unit:
Ac 0.0688 0.3696 0.2500 (multiplicity 6)
Al 0.3333 0.6667 0.7500 (multiplicity 2)
Ge 0.0734 0.3775 0.7500 (multiplicity 6)


(3)
Starting from a crystal structure in Alexandria, relaxed with PBE, the X-ray powder pattern of Ac5Al2Ge5 was simulated for CuKα.

Principal peaks in the range 2θ from 5° to 70°, sorted by position:
| Position (°2θ) | intensity | index |
| --- | --- | --- |
| 21.5 | 27 | 1 1 -1 |
| 24.5 | 33 | 4 0 -3 |
| 29.3 | 100 | 3 1 0 |
| 30.3 | 51 | 2 0 -4 |
| 31.4 | 47 | 1 1 -3 |
| 34.4 | 35 | 6 0 -2 |
| 38.0 | 56 | 5 1 -4 |
| 41.0 | 30 | 0 2 0 |
| 46.9 | 31 | 1 1 4 |
| 59.8 | 33 | 9 1 -2 |

Atomic structure:
a = 16.007 Å, b = 4.400 Å, c = 12.268 Å
α = 90.00°, β = 127.47°, γ = 90.00°
Space group C2/m (No. 12)
Asymmetric unit:
Ac 0.000 0.000 0.000 (multiplicity 2)
Ac 0.129 0.500 0.827 (multiplicity 4)
Ac 0.181 0.500 0.576 (multiplicity 4)
Al 0.118 0.500 0.260 (multiplicity 4)
Ge 0.000 0.000 0.500 (multiplicity 2)
Ge 0.067 0.000 0.321 (multiplicity 4)
Ge 0.202 0.500 0.139 (multiplicity 4)


(4)
Starting from a crystal structure in Alexandria, relaxed with PBE, the X-ray powder pattern of Ac3Al2Ge4 was simulated for CuKα.

Principal peaks in the range 2θ from 5° to 70°, sorted by position:
| Position (°2θ) | intensity | index |
| --- | --- | --- |
| 22.8 | 16 | 2 0 -2 |
| 23.2 | 32 | 1 1 -1 |
| 30.1 | 27 | 4 0 -1 |
| 30.2 | 26 | 0 0 3 |
| 30.5 | 100 | 1 1 2 |
| 39.4 | 19 | 4 0 2 |
| 40.3 | 35 | 3 1 -3 |
| 41.1 | 17 | 0 2 0 |
| 51.8 | 24 | 4 2 -1 |
| 57.8 | 12 | 1 1 5 |

Atomic structure:
a = 12.031 Å, b = 4.393 Å, c = 9.023 Å
α = 90.00°, β = 100.15°, γ = 90.00°
Space group C2/m (No. 12)
Asymmetric unit:
Ac 0.000 0.000 0.000 (multiplicity 2)
Ac 0.162 0.500 0.669 (multiplicity 4)
Al 0.115 0.500 0.278 (multiplicity 4)
Ge 0.063 0.000 0.387 (multiplicity 4)
Ge 0.220 0.500 0.057 (multiplicity 4)